# 1
Diffraction record for ReS2NO9. The powder diffractogram is simulated, not measured: it uses a GGA-PBE-relaxed structure and Cu Kα (weighted mean of Kα1 and Kα2).
Lines closer than 0.1° are merged.

Crystal structure
```
data_ReS2NO9
_cell_length_a 7.919
_cell_length_b 8.011
_cell_length_c 8.020
_cell_angle_alpha 105.04
_cell_angle_beta 105.64
_cell_angle_gamma 104.33
_space_group_name_H-M_alt 'P -1'
_space_group_IT_number 2
_space_group_name_Hall '-P 1'
loop_
_atom_site_label
_atom_site_type_symbol
_atom_site_fract_x
_atom_site_fract_y
_atom_site_fract_z
Re1 Re 0.170 0.447 0.157
S1 S 0.190 0.460 0.751
S2 S 0.218 0.874 0.173
N1 N 0.220 0.969 0.719
O1 O 0.020 0.539 0.290
O2 O 0.052 0.771 0.973
O3 O 0.145 0.933 0.314
O4 O 0.182 0.312 0.602
O5 O 0.214 0.392 0.925
O6 O 0.286 0.703 0.189
O7 O 0.319 0.641 0.804
O8 O 0.325 0.393 0.304
O9 O 0.362 0.998 0.145
```

Peak list (12 most intense, 2θ = 10–80°, by intensity)
index	2θ (°)	Rel. int.
0 1 0	12.2	100.0
1 0 -1	13.9	51.7
1 0 0	12.3	31.7
0 2 -2	28.1	30.3
1 2 0	31.1	22.3
0 2 0	24.5	20.7
2 -2 0	28.4	16.5
-1 1 1	18.6	16.0
1 0 -2	23.3	14.6
2 0 0	24.8	14.6
1 1 0	20.1	12.8
0 0 2	24.6	11.1



# 2
Diffraction record for ScS2NO8. The powder diffractogram is simulated, not measured: it uses a GGA-PBE-relaxed structure and Cu Kα (weighted mean of Kα1 and Kα2).
Lines closer than 0.1° are merged.

Crystal structure
```
data_ScS2NO8
_cell_length_a 5.0821
_cell_length_b 5.0821
_cell_length_c 8.6482
_cell_angle_alpha 90.00
_cell_angle_beta 90.00
_cell_angle_gamma 120.00
_space_group_name_H-M_alt 'P 3 2 1'
_space_group_IT_number 150
_space_group_name_Hall 'P 3 2"'
loop_
_atom_site_label
_atom_site_type_symbol
_atom_site_fract_x
_atom_site_fract_y
_atom_site_fract_z
Sc1 Sc 0.0000 0.0000 0.0000
S1 S 0.3333 0.6667 0.2109
N1 N 0.0000 0.0000 0.5000
O1 O 0.0946 0.3662 0.1486
O2 O 0.3333 0.6667 0.3784
```

Peak list (12 most intense, 2θ = 10–80°, by intensity)
index	2θ (°)	Rel. int.
0 1 1	22.7	100.0
0 0 1	10.2	67.0
0 1 2	28.9	37.6
1 1 0	35.3	23.4
0 2 2	46.3	12.2
1 2 1	56.3	9.9
2 1 2	59.5	7.8
1 0 4	46.8	7.5
1 1 4	55.8	6.4
3 0 0	63.4	6.3
1 1 5	65.3	5.1
1 1 3	47.7	5.1



# 3
Diffraction record for SmS3N3O9. The powder diffractogram is simulated, not measured: it uses a GGA-PBE-relaxed structure and Cu Kα (weighted mean of Kα1 and Kα2).
Lines closer than 0.1° are merged.

Crystal structure
```
data_SmS3N3O9
_cell_length_a 9.8608
_cell_length_b 9.8608
_cell_length_c 5.7970
_cell_angle_alpha 90.00
_cell_angle_beta 90.00
_cell_angle_gamma 120.00
_space_group_name_H-M_alt 'P 63/m'
_space_group_IT_number 176
_space_group_name_Hall '-P 6c'
loop_
_atom_site_label
_atom_site_type_symbol
_atom_site_fract_x
_atom_site_fract_y
_atom_site_fract_z
Sm1 Sm 0.3333 0.6667 0.2500
S1 S 0.0867 0.4008 0.7500
N1 N 0.1245 0.8553 0.7500
O1 O 0.0844 0.6896 0.2500
O2 O 0.1520 0.4941 0.5400
```

Peak list (12 most intense, 2θ = 10–80°, by intensity)
index	2θ (°)	Rel. int.
1 0 0	10.4	100.0
2 0 1	25.9	66.7
2 1 1	31.7	46.8
1 0 1	18.5	37.5
1 1 1	23.7	33.7
3 0 2	44.6	22.1
1 3 1	41.2	19.5
1 1 0	18.0	19.4
2 3 1	49.1	19.0
3 0 0	31.4	15.8
4 1 0	48.9	15.0
2 1 0	27.6	14.9



# 4
Diffraction record for SnS6N2O21. The powder diffractogram is simulated, not measured: it uses a GGA-PBE-relaxed structure and Cu Kα (weighted mean of Kα1 and Kα2).
Lines closer than 0.1° are merged.

Crystal structure
```
data_SnS6N2O21
_cell_length_a 10.2598
_cell_length_b 10.2598
_cell_length_c 11.5868
_cell_angle_alpha 90.00
_cell_angle_beta 90.00
_cell_angle_gamma 120.00
_space_group_name_H-M_alt 'P -3'
_space_group_IT_number 147
_space_group_name_Hall '-P 3'
loop_
_atom_site_label
_atom_site_type_symbol
_atom_site_fract_x
_atom_site_fract_y
_atom_site_fract_z
Sn1 Sn 0.0000 0.0000 0.2401
S1 S 0.0766 0.3386 0.6619
S2 S 0.1410 0.7919 0.1495
N1 N 0.3333 0.6667 0.4384
N2 N 0.3333 0.6667 0.8750
O1 O 0.0202 0.6454 0.4200
O2 O 0.0225 0.3425 0.7939
O3 O 0.0592 0.1826 0.6501
O4 O 0.0776 0.1871 0.1350
O5 O 0.1413 0.7320 0.0384
O6 O 0.1732 0.4314 0.2317
O7 O 0.2220 0.7675 0.6635
```

Peak list (12 most intense, 2θ = 10–80°, by intensity)
index	2θ (°)	Rel. int.
1 0 2	18.3	100.0
2 0 2	25.3	93.3
1 1 1	18.9	76.3
0 0 2	15.3	66.9
3 -1 2	30.8	61.4
1 2 0	26.5	57.1
2 0 4	37.0	21.9
2 1 4	41.2	21.8
3 1 2	39.7	20.8
1 1 2	23.2	20.3
0 4 2	43.6	17.0
3 0 0	30.2	16.7



# 5
Diffraction record for ZnS2N4O8. The powder diffractogram is simulated, not measured: it uses a GGA-PBE-relaxed structure and Cu Kα (weighted mean of Kα1 and Kα2).
Lines closer than 0.1° are merged.

Crystal structure
```
data_ZnS2N4O8
_cell_length_a 5.261
_cell_length_b 6.339
_cell_length_c 8.411
_cell_angle_alpha 96.66
_cell_angle_beta 105.47
_cell_angle_gamma 93.67
_space_group_name_H-M_alt 'P -1'
_space_group_IT_number 2
_space_group_name_Hall '-P 1'
loop_
_atom_site_label
_atom_site_type_symbol
_atom_site_fract_x
_atom_site_fract_y
_atom_site_fract_z
Zn1 Zn 0.000 0.000 0.000
S1 S 0.375 0.775 0.799
N1 N 0.106 0.803 0.228
N2 N 0.187 0.687 0.313
O1 O 0.171 0.770 0.892
O2 O 0.334 0.938 0.683
O3 O 0.344 0.572 0.685
O4 O 0.358 0.193 0.082
```

Peak list (12 most intense, 2θ = 10–80°, by intensity)
index	2θ (°)	Rel. int.
0 0 1	11.0	100.0
0 1 -1	16.7	88.6
1 1 0	23.7	43.3
0 1 0	14.1	41.9
-1 1 1	22.8	31.4
0 1 -2	24.6	30.2
-1 1 2	28.8	28.3
1 0 1	23.3	22.2
2 0 -1	34.2	21.7
1 1 1	29.0	21.1
-1 2 2	38.8	14.7
0 2 -2	33.8	13.6



# 6
Diffraction record for Sm5Si3NO12. The powder diffractogram is simulated, not measured: it uses a GGA-PBE-relaxed structure and Cu Kα (weighted mean of Kα1 and Kα2).
Lines closer than 0.1° are merged.

Crystal structure
```
data_Sm5Si3NO12
_cell_length_a 9.6450
_cell_length_b 9.6450
_cell_length_c 6.9961
_cell_angle_alpha 90.00
_cell_angle_beta 90.00
_cell_angle_gamma 120.00
_space_group_name_H-M_alt 'P 63/m'
_space_group_IT_number 176
_space_group_name_Hall '-P 6c'
loop_
_atom_site_label
_atom_site_type_symbol
_atom_site_fract_x
_atom_site_fract_y
_atom_site_fract_z
Sm1 Sm 0.0013 0.7710 0.2500
Sm2 Sm 0.3333 0.6667 0.0007
Si1 Si 0.0342 0.6272 0.7500
N1 N 0.0000 0.0000 0.2500
O1 O 0.0961 0.7435 0.5597
O2 O 0.1360 0.5317 0.7500
O3 O 0.1601 0.4932 0.2500
```

Peak list (12 most intense, 2θ = 10–80°, by intensity)
index	2θ (°)	Rel. int.
1 2 1	31.1	100.0
1 1 2	31.6	54.7
1 0 2	27.6	44.7
1 2 0	28.3	42.7
2 2 2	45.7	34.7
1 2 3	48.5	30.7
2 0 0	21.3	30.4
1 4 0	50.0	30.0
4 0 2	50.9	27.7
3 0 0	32.1	26.6
1 1 1	22.4	22.6
4 1 4	75.3	19.9